Starting from a structure optimized by DFT (GGA+U), the powder X-ray diffraction pattern of SrMnGaO4 was computed for Cu Ka.

Structural model:
abc: 5.359 5.561 6.878
angles: 90.00 106.78 90.00
Space group P2_1/m (No. 11)
One atom of each set of equivalent atoms:
Sr 0.228 0.250 0.458 x2
Mn 0.411 0.250 0.006 x2
Ga 0.193 0.750 0.165 x2
O 0.052 0.250 0.078 x2
O 0.153 0.750 0.416 x2
O 0.499 0.526 0.189 x4

Largest 10 diffraction maxima, in order of rising 2θ, 2θ = 10–90°:
| 2θ/deg | Rel. int. | h k l |
| --- | --- | --- |
| 24.89 | 87 | 1 0 1 |
| 29.70 | 37 | 1 1 1 |
| 32.07 | 83 | 1 1 -2 |
| 32.19 | 100 | 0 2 0 |
| 33.63 | 51 | 2 0 -1 |
| 37.43 | 42 | 2 1 -1 |
| 39.99 | 37 | 1 1 2 |
| 41.14 | 64 | 1 2 1 |
| 42.56 | 34 | 0 2 2 |
| 57.28 | 50 | 2 2 -3 |